Starting from a cell relaxed with GGA-PBE, the X-ray diffraction stick pattern of KBW2 was calculated for Cu Ka.

Crystal structure
Unit cell a=6.5357 b=6.5357 c=9.2187 alpha=90.00 beta=90.00 gamma=90.00
Sites, in units of the cell vectors:
K  0.0000  0.2500  0.3750
K  0.0000  0.7500  0.6250
K  0.5000  0.2500  0.1250
K  0.5000  0.7500  0.8750
B  0.0000  0.2500  0.8750
B  0.0000  0.7500  0.1250
B  0.5000  0.2500  0.6250
B  0.5000  0.7500  0.3750
W  0.0000  0.0000  0.0000
W  0.0000  0.5000  0.0000
W  0.2500  0.2500  0.7500
W  0.2500  0.7500  0.2500
W  0.5000  0.0000  0.5000
W  0.5000  0.5000  0.5000
W  0.7500  0.2500  0.7500
W  0.7500  0.7500  0.2500

Principal peaks in the range 2θ from 10° to 90°, by intensity:
d_spacing	2θ/deg	intensity
2.784	32.15	100
5.332	16.63	98
2.666	33.62	93
1.632	56.36	41
2.119	42.68	28
1.778	51.39	27
1.393	67.20	26
2.311	38.98	24
1.562	59.16	15
1.390	67.35	13
1.408	66.38	12
1.203	79.71	12

***

Starting from a cell relaxed with GGA-PBE, the X-ray diffraction stick pattern of LaB6 was calculated for Cu Ka.

Crystal structure
Unit cell a=4.1551 b=4.1551 c=4.1551 alpha=90.00 beta=90.00 gamma=90.00
Sites, in units of the cell vectors:
La  0.0000  0.0000  0.0000
B  0.1997  0.5000  0.5000
B  0.5000  0.1997  0.5000
B  0.5000  0.5000  0.1997
B  0.5000  0.5000  0.8003
B  0.5000  0.8003  0.5000
B  0.8003  0.5000  0.5000

Principal peaks in the range 2θ from 10° to 90°, by intensity:
d_spacing	2θ/deg	intensity
2.938	30.42	100
4.155	21.38	63
1.858	49.02	49
2.399	37.49	42
1.385	67.64	28
1.696	54.06	27
2.078	43.56	22
1.314	71.85	20
1.110	87.93	17
1.253	75.96	13
1.469	63.31	10
1.152	83.97	8

***

Starting from a cell relaxed with GGA-PBE, the X-ray diffraction stick pattern of LaMnB14 was calculated for Cu Ka.

Crystal structure
Unit cell a=7.4667 b=7.4667 c=7.4667 alpha=133.79 beta=86.28 gamma=111.89
Sites, in units of the cell vectors:
La  0.3774  0.1274  0.2500
La  0.6226  0.8726  0.7500
Mn  0.0000  0.0000  0.5000
Mn  0.0000  0.5000  0.0000
B  0.0083  0.1350  0.8733
B  0.0279  0.2027  0.3273
B  0.0279  0.7007  0.8252
B  0.0848  0.6678  0.4169
B  0.1963  0.5308  0.6656
B  0.2183  0.4990  0.3983
B  0.2183  0.8199  0.7193
B  0.2384  0.8650  0.3733
B  0.2491  0.3322  0.9169
B  0.3652  0.5308  0.8344
B  0.3754  0.2027  0.6748
B  0.3754  0.7007  0.1727
B  0.3994  0.1801  0.8983
B  0.3994  0.5010  0.2193
B  0.6006  0.4990  0.7807
B  0.6006  0.8199  0.1017
B  0.6246  0.2993  0.8273
B  0.6246  0.7973  0.3252
B  0.6348  0.4692  0.1656
B  0.7509  0.6678  0.0831
B  0.7616  0.1350  0.6267
B  0.7817  0.1801  0.2807
B  0.7817  0.5010  0.6017
B  0.8037  0.4692  0.3344
B  0.9152  0.3322  0.5831
B  0.9721  0.2993  0.1748
B  0.9721  0.7973  0.6727
B  0.9917  0.8650  0.1267

Principal peaks in the range 2θ from 10° to 90°, by intensity:
d_spacing	2θ/deg	intensity
5.448	16.27	100
3.249	27.45	84
3.601	24.72	76
2.200	41.03	72
2.680	33.43	70
2.484	36.17	62
2.285	39.44	42
2.701	33.17	35
4.799	18.49	34
2.211	40.81	30
1.624	56.66	26
1.835	49.67	24

***

Starting from a cell relaxed with GGA-PBE, the X-ray diffraction stick pattern of LaMnB was calculated for Cu Ka.

Crystal structure
Unit cell a=3.6479 b=3.6479 c=8.6275 alpha=90.00 beta=90.00 gamma=90.00
Sites, in units of the cell vectors:
La  0.2500  0.2500  0.2116
La  0.7500  0.7500  0.7884
Mn  0.2500  0.7500  0.5000
Mn  0.7500  0.2500  0.5000
B  0.2500  0.2500  0.6194
B  0.7500  0.7500  0.3806

Principal peaks in the range 2θ from 10° to 90°, by intensity:
d_spacing	2θ/deg	intensity
3.360	26.53	100
2.214	40.76	61
2.258	39.92	25
1.603	57.49	24
1.824	50.01	21
2.876	31.10	21
2.785	32.13	20
2.471	36.35	19
1.434	65.03	17
8.628	10.25	17
1.857	49.07	14
1.114	87.54	13